Entry 1:
Sr3Al: computed powder X-ray diffraction pattern (Cu Kα X-rays), based on a GGA-PBE-relaxed structure.
Neutral-atom scattering factors, no anomalous dispersion.

Top 12 peaks for 10° ≤ 2θ ≤ 80°, in order of falling intensity:
hkl, 2theta, I_rel
1 0 2, 28.03, 1000
1 1 0, 31.20, 593
1 0 1, 23.59, 497
1 1 3, 41.05, 343
2 1 2, 53.60, 319
0 0 3, 26.00, 291
2 0 0, 44.70, 216
1 0 5, 49.72, 168
2 0 3, 52.44, 166
2 1 5, 69.07, 126
1 0 3, 34.26, 124
2 1 1, 51.16, 121

Atomic structure:
abc: 4.0543 4.0543 10.2809
angles: 90.00 90.00 90.00
Space group P4/mmm (No. 123)
Inequivalent atoms, fractional coordinates:
Sr 0.0000 0.0000 0.0000 [1 per cell]
Sr 0.5000 0.5000 0.3171 [2 per cell]
Al 0.0000 0.0000 0.5000 [1 per cell]



Entry 2:
Pr4DyY5: computed powder X-ray diffraction pattern (Cu Kα X-rays), based on a GGA-PBE-relaxed structure.
Neutral-atom scattering factors, no anomalous dispersion.

Top 12 peaks for 10° ≤ 2θ ≤ 80°, in order of falling intensity:
hkl, 2theta, I_rel
1 2 -2, 33.48, 1000
0 3 0, 30.81, 272
1 1 -1, 26.71, 269
0 2 -3, 31.39, 259
0 0 4, 31.64, 212
0 1 3, 25.75, 169
0 1 0, 10.16, 140
1 1 -5, 47.91, 124
1 4 -1, 45.16, 122
2 1 0, 51.22, 115
0 2 1, 21.87, 111
1 4 -5, 61.25, 106

Atomic structure:
abc: 3.5663 8.8875 11.3114
angles: 89.89 90.00 78.45
Space group P-1 (No. 2)
Inequivalent atoms, fractional coordinates:
Pr 0.0312 0.4387 0.2492 [2 per cell]
Pr 0.3459 0.8114 0.2499 [2 per cell]
Dy 0.5000 0.5000 0.0000 [1 per cell]
Y 0.1733 0.1520 0.4452 [2 per cell]
Y 0.1728 0.1527 0.0538 [2 per cell]
Y 0.5000 0.5000 0.5000 [1 per cell]